Entry 1:
This entry pairs a crystal structure of Ho12Pd6Pt with its calculated X-ray diffraction stick pattern. Radiation: Cu Kα. Structure: a structure optimized by DFT (PBE).
Intensities are scaled so that the largest is 100.

Most intense lines, 2θ from 5° to 70°, by intensity:
index  two_theta  intensity
4 1 0  37.8  100
3 -1 4  38.0  82
1 2 2  26.6  64
4 -1 2  33.4  57
3 -1 1  22.9  52
1 0 4  32.0  33
2 2 6  55.9  21
2 4 4  54.7  21
6 -4 1  44.7  20
3 4 2  53.5  19

Cell and atoms:
abc: 12.5914 12.5914 11.5745
angles: 90.00 90.00 120.00
Space group R-3 (No. 148, hexagonal axes)
Symmetry-distinct sites (fractional):
1 Ho 0.0265 0.8164 0.3890 (multiplicity 18)
2 Ho 0.0388 0.8339 0.8810 (multiplicity 18)
3 Pd 0.0419 0.7777 0.6437 (multiplicity 18)
4 Pt 0.0000 0.0000 0.0000 (multiplicity 3)

---

Entry 2:
This entry pairs a crystal structure of CrH7Pd5 with its calculated X-ray diffraction stick pattern. Radiation: Cu Kα. Structure: a structure optimized by DFT (PBE).
Intensities are scaled so that the largest is 100.

Most intense lines, 2θ from 5° to 70°, by intensity:
index  two_theta  intensity
0 1 6  38.4  100
0 1 -6  36.8  89
0 2 0  37.6  65
1 1 -2  40.6  37
-1 1 2  34.7  36
1 -1 4  39.6  19
-1 1 4  39.6  18
1 2 4  60.3  15
1 0 2  33.1  15
1 0 -2  32.6  14

Cell and atoms:
abc: 2.9470 4.8860 16.5774
angles: 92.41 91.05 101.39
Space group P-1 (No. 2)
Symmetry-distinct sites (fractional):
1 Cr 0.0622 0.4771 0.2512 (multiplicity 2)
2 H 0.0546 0.2005 0.4026 (multiplicity 2)
3 H 0.1742 0.1012 0.8915 (multiplicity 2)
4 H 0.2095 0.8807 0.2644 (multiplicity 2)
5 H 0.4000 0.4368 0.6842 (multiplicity 2)
6 H 0.4315 0.7324 0.4827 (multiplicity 2)
7 H 0.4360 0.7297 0.9942 (multiplicity 2)
8 H 0.4715 0.5984 0.8140 (multiplicity 2)
9 Pd 0.0000 0.0000 0.0000 (multiplicity 1)
10 Pd 0.0000 0.0000 0.5000 (multiplicity 1)
11 Pd 0.2453 0.0378 0.6747 (multiplicity 2)
12 Pd 0.3474 0.0155 0.1688 (multiplicity 2)
13 Pd 0.3880 0.5544 0.5823 (multiplicity 2)
14 Pd 0.4836 0.4684 0.9137 (multiplicity 2)

---

Entry 3:
This entry pairs a crystal structure of PuMg2Hg4 with its calculated X-ray diffraction stick pattern. Radiation: Cu Kα. Structure: a structure optimized by DFT (PBE).
Intensities are scaled so that the largest is 100.

Most intense lines, 2θ from 5° to 70°, by intensity:
index  two_theta  intensity
1 1 0  36.1  100
0 1 8  35.8  82
1 0 4  25.2  50
1 2 8  64.7  30
2 0 8  51.8  29
1 0 7  32.8  28
0 1 5  27.5  25
1 1 15  68.4  19
3 0 0  64.9  19
0 1 2  21.8  14

Cell and atoms:
abc: 4.9777 4.9777 24.6564
angles: 90.00 90.00 120.00
Space group R-3m (No. 166, hexagonal axes)
Symmetry-distinct sites (fractional):
1 Pu 0.0000 0.0000 0.0000 (multiplicity 3)
2 Mg 0.0000 0.0000 0.2499 (multiplicity 6)
3 Hg 0.0000 0.0000 0.1307 (multiplicity 6)
4 Hg 0.0000 0.0000 0.3891 (multiplicity 6)

---

Entry 4:
This entry pairs a crystal structure of Fe4Ni7Pd with its calculated X-ray diffraction stick pattern. Radiation: Cu Kα. Structure: a structure optimized by DFT (PBE).
Intensities are scaled so that the largest is 100.

Most intense lines, 2θ from 5° to 70°, by intensity:
index  two_theta  intensity
1 -2 1  43.5  100
2 0 -2  43.6  99
2 0 1  50.7  62
-1 2 2  50.8  31
0 0 1  14.2  2
1 0 -1  21.4  2
0 1 2  37.0  2
1 1 -2  32.3  2
0 0 2  28.7  1
1 -1 0  27.0  1

Cell and atoms:
abc: 4.4066 5.0971 6.7207
angles: 101.05 108.97 90.05
Space group P-1 (No. 2)
Symmetry-distinct sites (fractional):
1 Fe 0.1665 0.1658 0.1629 (multiplicity 2)
2 Fe 0.3259 0.5765 0.8294 (multiplicity 2)
3 Ni 0.0012 0.7430 0.5027 (multiplicity 2)
4 Ni 0.1673 0.6606 0.1601 (multiplicity 2)
5 Ni 0.3310 0.0847 0.8417 (multiplicity 2)
6 Ni 0.5000 0.5000 0.5000 (multiplicity 1)
7 Pd 0.5000 0.0000 0.5000 (multiplicity 1)

---

Entry 5:
This entry pairs a crystal structure of Ag2SnCl5 with its calculated X-ray diffraction stick pattern. Radiation: Cu Kα. Structure: a structure optimized by DFT (PBE).
Intensities are scaled so that the largest is 100.

Most intense lines, 2θ from 5° to 70°, by intensity:
index  two_theta  intensity
0 0 2  15.8  100
1 0 1  14.2  50
2 2 2  37.4  45
2 2 0  33.7  44
1 1 2  23.1  28
2 2 4  47.1  24
2 0 0  23.6  21
0 0 4  32.0  19
2 1 1  27.7  18
4 0 2  51.2  17

Cell and atoms:
abc: 7.5300 7.5300 11.1976
angles: 90.00 90.00 90.00
Space group I4mm (No. 107)
Symmetry-distinct sites (fractional):
1 Ag 0.0000 0.5000 0.0000 (multiplicity 4)
2 Sn 0.0000 0.0000 0.4449 (multiplicity 2)
3 Cl 0.0000 0.0000 0.2315 (multiplicity 2)
4 Cl 0.2440 0.2440 0.4881 (multiplicity 8)

---

Entry 6:
This entry pairs a crystal structure of Rb2ZrMnV with its calculated X-ray diffraction stick pattern. Radiation: Cu Kα. Structure: a structure optimized by DFT (PBE).
Intensities are scaled so that the largest is 100.

Most intense lines, 2θ from 5° to 70°, by intensity:
index  two_theta  intensity
2 0 0  26.0  100
1 1 1  26.6  47
2 2 0  37.1  38
2 0 2  47.4  37
1 0 0  12.9  36
2 2 2  54.9  23
2 0 1  32.5  20
3 1 1  46.3  20
0 0 1  19.2  19
4 2 0  60.4  17

Cell and atoms:
abc: 6.8524 6.8524 4.6287
angles: 90.00 90.00 90.00
Space group P4/mmm (No. 123)
Symmetry-distinct sites (fractional):
1 Rb 0.0000 0.5000 0.0000 (multiplicity 2)
2 Zr 0.0000 0.0000 0.0000 (multiplicity 1)
3 Mn 0.0000 0.0000 0.5000 (multiplicity 1)
4 V 0.5000 0.5000 0.5000 (multiplicity 1)

---

Entry 7:
This entry pairs a crystal structure of La5TbHo6 with its calculated X-ray diffraction stick pattern. Radiation: Cu Kα. Structure: a structure optimized by DFT (PBE).
Intensities are scaled so that the largest is 100.

Most intense lines, 2θ from 5° to 70°, by intensity:
index  two_theta  intensity
6 0 0  30.2  100
4 2 -1  34.6  35
6 4 0  59.3  30
8 2 1  50.8  24
4 0 2  36.1  16
6 2 3  61.3  13
0 4 0  49.7  13
4 4 2  62.9  12

Cell and atoms:
abc: 17.7485 7.3430 6.1880
angles: 90.00 92.22 90.00
Space group C2/m (No. 12)
Symmetry-distinct sites (fractional):
1 La 0.0000 0.0000 0.0000 (multiplicity 2)
2 La 0.1646 0.5000 0.6687 (multiplicity 4)
3 La 0.1668 0.0000 0.6661 (multiplicity 4)
4 Tb 0.0000 0.5000 0.0000 (multiplicity 2)
5 Ho 0.0000 0.2512 0.5000 (multiplicity 4)
6 Ho 0.1658 0.2506 0.1677 (multiplicity 8)

---

Entry 8:
This entry pairs a crystal structure of Ac2La4H2Pb3 with its calculated X-ray diffraction stick pattern. Radiation: Cu Kα. Structure: a structure optimized by DFT (PBE).
Intensities are scaled so that the largest is 100.

Most intense lines, 2θ from 5° to 70°, by intensity:
index  two_theta  intensity
1 1 6  32.1  100
2 0 0  35.9  59
1 1 2  26.0  46
1 0 7  29.1  39
3 1 6  62.1  31
2 1 7  46.9  23
2 2 0  51.6  21
1 0 1  18.0  17
1 1 4  28.4  15
1 1 0  25.1  14

Cell and atoms:
abc: 5.0085 5.0085 27.1156
angles: 90.00 90.00 90.00
Space group I4/mmm (No. 139)
Symmetry-distinct sites (fractional):
1 Ac 0.0000 0.0000 0.2006 (multiplicity 4)
2 La 0.0000 0.5000 0.0810 (multiplicity 8)
3 H 0.0000 0.0000 0.1004 (multiplicity 4)
4 Pb 0.0000 0.0000 0.3295 (multiplicity 4)
5 Pb 0.0000 0.0000 0.5000 (multiplicity 2)

---

Entry 9:
This entry pairs a crystal structure of LaTb5Pr8 with its calculated X-ray diffraction stick pattern. Radiation: Cu Kα. Structure: a structure optimized by DFT (PBE).
Intensities are scaled so that the largest is 100.

Most intense lines, 2θ from 5° to 70°, by intensity:
index  two_theta  intensity
2 1 3  32.7  100
1 3 0  29.0  73
3 0 1  28.8  65
1 0 3  27.0  54
3 2 1  34.3  45
1 3 2  33.7  37
2 2 2  31.0  24
5 0 3  53.9  22
1 3 6  60.7  21
4 2 4  54.7  17

Cell and atoms:
abc: 9.7239 9.7239 10.5511
angles: 90.00 90.00 90.00
Space group I-4 (No. 82)
Symmetry-distinct sites (fractional):
1 La 0.0000 0.0000 0.0000 (multiplicity 2)
2 Tb 0.0000 0.5000 0.7500 (multiplicity 2)
3 Tb 0.1094 0.2956 0.3219 (multiplicity 8)
4 Pr 0.0714 0.1754 0.6466 (multiplicity 8)
5 Pr 0.0853 0.3192 0.9981 (multiplicity 8)

---

Entry 10:
This entry pairs a crystal structure of Zn2GaCu with its calculated X-ray diffraction stick pattern. Radiation: Cu Kα. Structure: a structure optimized by DFT (PBE).
Intensities are scaled so that the largest is 100.

Most intense lines, 2θ from 5° to 70°, by intensity:
index  two_theta  intensity
1 2 -1  43.4  100
1 2 1  44.1  94
2 0 0  43.1  79
1 0 -2  39.5  60
1 0 2  41.2  54
0 2 1  37.8  53
0 2 3  63.3  29
0 0 2  34.0  27
2 2 1  59.3  14
2 2 -1  58.1  14

Cell and atoms:
abc: 4.2027 5.3252 5.2854
angles: 90.00 92.43 90.00
Space group P2_1/m (No. 11)
Symmetry-distinct sites (fractional):
1 Zn 0.2473 0.0045 0.3382 (multiplicity 4)
2 Ga 0.2543 0.7500 0.8779 (multiplicity 2)
3 Cu 0.2561 0.2500 0.7849 (multiplicity 2)

---

Entry 11:
This entry pairs a crystal structure of BaSr2TcO6 with its calculated X-ray diffraction stick pattern. Radiation: Cu Kα. Structure: a structure optimized by DFT (PBE).
Intensities are scaled so that the largest is 100.

Most intense lines, 2θ from 5° to 70°, by intensity:
index  two_theta  intensity
1 1 1  29.2  100
1 1 -3  29.4  98
0 2 0  28.0  49
2 0 -2  30.5  44
2 2 -2  41.8  43
3 1 -1  53.2  23
3 1 -5  53.6  22
0 0 4  42.0  22
0 2 4  51.2  21
1 3 1  50.2  20

Cell and atoms:
abc: 5.8699 6.3767 10.3642
angles: 90.00 123.80 90.00
Space group P2_1/c (No. 14)
Symmetry-distinct sites (fractional):
1 Ba 0.0000 0.0000 0.0000 (multiplicity 2)
2 Sr 0.2200 0.0459 0.7307 (multiplicity 4)
3 Tc 0.5000 0.0000 0.5000 (multiplicity 2)
4 O 0.1884 0.1551 0.4676 (multiplicity 4)
5 O 0.2635 0.7492 0.9105 (multiplicity 4)
6 O 0.4059 0.0835 0.2936 (multiplicity 4)

---

Entry 12:
This entry pairs a crystal structure of La6Pt3Br2 with its calculated X-ray diffraction stick pattern. Radiation: Cu Kα. Structure: a structure optimized by DFT (PBE).
Intensities are scaled so that the largest is 100.

Most intense lines, 2θ from 5° to 70°, by intensity:
index  two_theta  intensity
1 3 1  28.8  100
0 0 1  11.9  61
3 3 -1  42.0  57
2 0 -2  28.9  49
1 3 -3  40.4  34
4 0 0  51.7  29
2 0 2  40.3  17
1 3 2  37.0  17
4 6 0  68.6  16
3 3 0  43.8  16

Cell and atoms:
abc: 7.4537 12.9265 7.8395
angles: 90.00 108.23 90.00
Space group C2/m (No. 12)
Symmetry-distinct sites (fractional):
1 La 0.2285 0.0000 0.2101 (multiplicity 4)
2 La 0.2410 0.3372 0.2117 (multiplicity 8)
3 Pt 0.0000 0.1697 0.0000 (multiplicity 4)
4 Pt 0.0000 0.5000 0.0000 (multiplicity 2)
5 Br 0.0000 0.3325 0.5000 (multiplicity 4)

---

What did the seventh record say?
This entry pairs a crystal structure of La5TbHo6 with its calculated X-ray diffraction stick pattern. Radiation: Cu Kα. Structure: a structure optimized by DFT (PBE).
Intensities are scaled so that the largest is 100.

Most intense lines, 2θ from 5° to 70°, by intensity:
index  two_theta  intensity
6 0 0  30.2  100
4 2 -1  34.6  35
6 4 0  59.3  30
8 2 1  50.8  24
4 0 2  36.1  16
6 2 3  61.3  13
0 4 0  49.7  13
4 4 2  62.9  12

Cell and atoms:
abc: 17.7485 7.3430 6.1880
angles: 90.00 92.22 90.00
Space group C2/m (No. 12)
Symmetry-distinct sites (fractional):
1 La 0.0000 0.0000 0.0000 (multiplicity 2)
2 La 0.1646 0.5000 0.6687 (multiplicity 4)
3 La 0.1668 0.0000 0.6661 (multiplicity 4)
4 Tb 0.0000 0.5000 0.0000 (multiplicity 2)
5 Ho 0.0000 0.2512 0.5000 (multiplicity 4)
6 Ho 0.1658 0.2506 0.1677 (multiplicity 8)